(1)
This entry pairs a crystal structure of LiMg6Co with its simulated powder X-ray diffraction pattern. Radiation: Cu Kα (λ = 1.5418 Å). Structure: the GGA-PBE geometry in the Materials Project.
Neutral-atom scattering factors, no anomalous dispersion.

Main lines, low angle first (2θ = 10–90°):
index  d_spacing  I (rel.)
0 0 2  5.247  30.9
1 0 0  4.888  14.7
1 1 1  3.579  20.5
0 2 2  2.629  22.7
0 0 4  2.619  18.1
2 0 0  2.444  36.5
1 2 2  2.315  100.0
1 0 4  2.308  40.3
3 2 2  1.385  25.0
2 2 6  1.287  15.9

Structure:
```
data_LiMg6Co
_cell_length_a 4.8883
_cell_length_b 6.0794
_cell_length_c 10.4741
_cell_angle_alpha 90.00
_cell_angle_beta 90.00
_cell_angle_gamma 90.00
_symmetry_space_group_name_H-M 'A m m 2'
_symmetry_Int_Tables_number 38
loop_
_symmetry_equiv_pos_as_xyz
'x,y,z'
'-x,-y,z'
'-x,y,z'
'x,-y,z'
'x,y+1/2,z+1/2'
'-x,-y+1/2,z+1/2'
'-x,y+1/2,z+1/2'
'x,-y+1/2,z+1/2'
loop_
_atom_site_label
_atom_site_fract_x
_atom_site_fract_y
_atom_site_fract_z
Li1 0.0000 0.0000 0.0000
Mg1 0.0000 0.0000 0.4935
Mg2 0.0000 0.2326 0.2344
Mg3 0.5000 0.0000 0.6622
Mg4 0.5000 0.2443 0.9144
Co1 0.5000 0.0000 0.1663
```



(2)
This entry pairs a crystal structure of K2ZnS2O14 with its simulated powder X-ray diffraction pattern. Radiation: Cu Kα (λ = 1.5418 Å). Structure: the GGA-PBE geometry in the Materials Project.
Neutral-atom scattering factors, no anomalous dispersion.

Main lines, low angle first (2θ = 10–90°):
index  d_spacing  I (rel.)
0 0 2  4.349  31.8
1 1 1  4.151  81.4
1 0 -2  3.877  76.0
0 3 1  3.691  100.0
1 3 -1  3.240  22.2
2 1 -1  2.845  41.3
1 2 2  2.819  45.1
1 3 -3  2.327  26.9
2 4 0  2.100  21.9
0 4 4  1.772  22.5

Structure:
```
data_K2ZnS2O14
_cell_length_a 5.9008
_cell_length_b 12.2280
_cell_length_c 8.8861
_cell_angle_alpha 90.00
_cell_angle_beta 101.82
_cell_angle_gamma 90.00
_symmetry_space_group_name_H-M 'P 1 21/c 1'
_symmetry_Int_Tables_number 14
loop_
_symmetry_equiv_pos_as_xyz
'x,y,z'
'-x,-y,-z'
'-x,y+1/2,-z+1/2'
'x,-y+1/2,z+1/2'
loop_
_atom_site_label
_atom_site_fract_x
_atom_site_fract_y
_atom_site_fract_z
K1 0.1637 0.1571 0.3672
Zn1 0.5000 0.0000 0.0000
S1 0.2414 0.6405 0.8999
O1 0.0787 0.7334 0.8959
O2 0.1392 0.5605 0.7731
O3 0.1459 0.5503 0.5095
O4 0.2682 0.5784 0.0457
O5 0.3096 0.1117 0.8782
O6 0.3911 0.1128 0.1212
O7 0.4668 0.6818 0.8745
```



(3)
This entry pairs a crystal structure of Ar with its simulated powder X-ray diffraction pattern. Radiation: Cu Kα (λ = 1.5418 Å). Structure: the GGA-PBE geometry in the Materials Project.
Neutral-atom scattering factors, no anomalous dispersion.

Main lines, low angle first (2θ = 10–90°):
index  d_spacing  I (rel.)
1 1 1  3.257  100.0
2 0 0  2.820  48.8
2 2 0  1.994  30.6
3 1 1  1.701  34.1
2 2 2  1.628  9.6
4 0 0  1.410  4.2
3 3 1  1.294  12.5
4 2 0  1.261  11.4
4 2 2  1.151  8.7

Structure:
```
data_Ar
_cell_length_a 5.6408
_cell_length_b 5.6408
_cell_length_c 5.6408
_cell_angle_alpha 90.00
_cell_angle_beta 90.00
_cell_angle_gamma 90.00
_symmetry_space_group_name_H-M 'F m -3 m'
_symmetry_Int_Tables_number 225
_symmetry_space_group_name_Hall '-F 4 2 3'
loop_
_atom_site_label
_atom_site_fract_x
_atom_site_fract_y
_atom_site_fract_z
Ar1 0.0000 0.0000 0.0000
```



(4)
This entry pairs a crystal structure of AgBiO2 with its simulated powder X-ray diffraction pattern. Radiation: Cu Kα (λ = 1.5418 Å). Structure: the GGA-PBE geometry in the Materials Project.
Neutral-atom scattering factors, no anomalous dispersion.

Main lines, low angle first (2θ = 10–90°):
index  d_spacing  I (rel.)
2 0 0  6.327  31.2
4 0 0  3.163  47.7
2 0 -2  3.127  60.9
1 1 1  3.024  100.0
2 0 2  2.778  32.0
3 1 -1  2.620  55.6
5 1 1  1.914  29.6
1 1 -3  1.898  28.1
7 1 -1  1.618  17.9
4 0 -4  1.565  19.0

Structure:
```
data_AgBiO2
_cell_length_a 12.7855
_cell_length_b 3.6039
_cell_length_c 6.7015
_cell_angle_alpha 90.00
_cell_angle_beta 98.23
_cell_angle_gamma 90.00
_symmetry_space_group_name_H-M 'C 1 2/m 1'
_symmetry_Int_Tables_number 12
loop_
_symmetry_equiv_pos_as_xyz
'x,y,z'
'-x,-y,-z'
'-x,y,-z'
'x,-y,z'
'x+1/2,y+1/2,z'
'-x+1/2,-y+1/2,-z'
'-x+1/2,y+1/2,-z'
'x+1/2,-y+1/2,z'
loop_
_atom_site_label
_atom_site_fract_x
_atom_site_fract_y
_atom_site_fract_z
Ag1 0.0000 0.0000 0.0000
Ag2 0.0000 0.5000 0.5000
Bi1 0.2463 0.0000 0.7390
O1 0.1607 0.0000 0.1165
O2 0.1639 0.5000 0.5170
```



(5)
This entry pairs a crystal structure of Rb2BeF4 with its simulated powder X-ray diffraction pattern. Radiation: Cu Kα (λ = 1.5418 Å). Structure: the GGA-PBE geometry in the Materials Project.
Neutral-atom scattering factors, no anomalous dispersion.

Main lines, low angle first (2θ = 10–90°):
index  d_spacing  I (rel.)
1 1 1  4.327  25.6
1 1 2  3.512  71.0
2 1 1  3.121  100.0
0 1 3  3.007  69.8
0 2 0  2.991  62.9
3 0 1  2.524  53.2
1 2 2  2.463  42.2
2 2 2  2.161  25.0
3 2 1  1.929  25.1
3 1 4  1.761  31.0

Structure:
```
data_Rb2BeF4
_cell_length_a 7.8051
_cell_length_b 5.9826
_cell_length_c 10.4351
_cell_angle_alpha 90.00
_cell_angle_beta 90.00
_cell_angle_gamma 90.00
_symmetry_space_group_name_H-M 'P n m a'
_symmetry_Int_Tables_number 62
loop_
_symmetry_equiv_pos_as_xyz
'x,y,z'
'-x,-y,-z'
'-x+1/2,-y,z+1/2'
'x+1/2,y,-z+1/2'
'x+1/2,-y+1/2,-z+1/2'
'-x+1/2,y+1/2,z+1/2'
'-x,y+1/2,-z'
'x,-y+1/2,z'
loop_
_atom_site_label
_atom_site_fract_x
_atom_site_fract_y
_atom_site_fract_z
Rb1 0.0122 0.2500 0.1916
Rb2 0.1632 0.7500 0.4079
Be1 0.2370 0.7500 0.0813
F1 0.0369 0.7500 0.0859
F2 0.1910 0.0348 0.6490
F3 0.1942 0.2500 0.4388
```